Diffraction record for UGa3Ni3. The powder diffractogram is calculated, not measured: it uses the PBE geometry in Alexandria and Cu Kα (weighted mean of Kα1 and Kα2).
Lines closer than 0.1° are merged.

Structural model:
a = 7.4231 Å, b = 7.4231 Å, c = 14.5764 Å
α = 90.00°, β = 90.00°, γ = 120.00°
Space group R-3 (No. 148, hexagonal axes)
Asymmetric unit:
U (0.0000, 0.0000, 0.1742) (multiplicity 6)
Ga (0.0138, 0.3092, 0.6262) (multiplicity 18)
Ni (0.0006, 0.2929, 0.4542) (multiplicity 18)

Most intense lines, 10 to 90 degrees two-theta, by angle:
| 2theta | intensity | index |
| --- | --- | --- |
| 18.26 | 27 | 0 0 3 |
| 28.44 | 21 | 0 2 1 |
| 30.33 | 100 | 2 -1 3 |
| 42.17 | 89 | 3 0 0 |
| 44.58 | 76 | 1 1 6 |
| 63.03 | 21 | 4 -2 6 |